(1)
Ce6HgAu6: calculated X-ray diffraction stick pattern (λ = 1.5418 Å (Cu Kα)), based on a crystal structure in Alexandria, relaxed with GGA-PBE.
Kinematic intensities with the Lorentz-polarization factor, no thermal factor.

Structural model:
```
13
Lattice="6.177 0.000 0.000 -3.088 5.349 0.000 0.000 0.000 10.248" Properties=species:S:1:pos:R:3 pbc="T T T"
Ce 0.000 0.000 1.925
Ce 0.000 0.000 8.323
Ce 0.000 3.566 0.000
Ce 0.000 3.566 5.124
Ce 3.088 1.783 0.000
Ce 3.088 1.783 5.124
Hg 0.000 0.000 5.124
Au -1.544 2.675 2.568
Au -1.544 2.675 7.680
Au 3.088 0.000 2.568
Au 3.088 0.000 7.680
Au 1.544 2.675 2.568
Au 1.544 2.675 7.680
```

Main lines, in order of rising 2θ (2θ from 10° to 90°):
- 2θ 17.31, I = 20
- 2θ 33.50, I = 63
- 2θ 33.89, I = 58
- 2θ 35.02, I = 37
- 2θ 37.95, I = 100
- 2θ 49.25, I = 28
- 2θ 59.90, I = 31
- 2θ 71.31, I = 29

(2)
Ce3Hg4Au4: calculated X-ray diffraction stick pattern (λ = 1.5418 Å (Cu Kα)), based on a crystal structure in Alexandria, relaxed with GGA-PBE.
Kinematic intensities with the Lorentz-polarization factor, no thermal factor.

Structural model:
```
11
Lattice="15.698 -1.706 0.000 15.698 1.706 0.000 -0.758 0.000 4.822" Properties=species:S:1:pos:R:3 pbc="T T T"
Ce 0.000 0.000 0.000
Ce 3.871 0.000 3.077
Ce 26.767 0.000 1.745
Hg 8.161 0.000 1.285
Hg 12.143 0.000 4.383
Hg 18.495 0.000 0.438
Hg 22.477 0.000 3.537
Au 9.347 0.000 3.943
Au 13.934 0.000 2.194
Au 16.704 0.000 2.628
Au 21.290 0.000 0.878
```

Main lines, in order of rising 2θ (2θ from 10° to 90°):
- 2θ 26.27, I = 14
- 2θ 33.14, I = 30
- 2θ 34.08, I = 65
- 2θ 36.82, I = 100
- 2θ 43.58, I = 12
- 2θ 50.37, I = 19
- 2θ 66.32, I = 17
- 2θ 66.91, I = 36

(3)
Ce5HoAu6: calculated X-ray diffraction stick pattern (λ = 1.5418 Å (Cu Kα)), based on a crystal structure in Alexandria, relaxed with GGA-PBE.
Kinematic intensities with the Lorentz-polarization factor, no thermal factor.

Structural model:
```
12
Lattice="8.099 -3.750 0.000 8.099 3.750 0.000 -1.622 0.000 4.873" Properties=species:S:1:pos:R:3 pbc="T T T"
Ce 0.000 0.000 0.000
Ce 1.451 0.000 3.193
Ce 4.663 0.000 1.558
Ce 9.913 0.000 3.315
Ce 13.125 0.000 1.680
Ho 8.099 0.000 0.000
Au 4.131 1.731 4.087
Au 7.288 1.620 2.436
Au 10.445 1.731 0.786
Au 4.131 -1.731 4.087
Au 7.288 -1.620 2.436
Au 10.445 -1.731 0.786
```

Main lines, in order of rising 2θ (2θ from 10° to 90°):
- 2θ 34.40, I = 100
- 2θ 34.99, I = 50
- 2θ 48.56, I = 8
- 2θ 50.32, I = 17
- 2θ 61.24, I = 16
- 2θ 62.32, I = 18
- 2θ 62.43, I = 15
- 2θ 72.51, I = 9

(4)
Ce4HoAu5: calculated X-ray diffraction stick pattern (λ = 1.5418 Å (Cu Kα)), based on a crystal structure in Alexandria, relaxed with GGA-PBE.
Kinematic intensities with the Lorentz-polarization factor, no thermal factor.

Structural model:
```
10
Lattice="3.612 0.000 0.000 0.000 3.612 0.000 0.000 0.000 18.934" Properties=species:S:1:pos:R:3 pbc="T T T"
Ce 0.000 0.000 1.911
Ce 0.000 0.000 5.743
Ce 0.000 0.000 13.191
Ce 0.000 0.000 17.023
Ho 0.000 0.000 9.467
Au 1.806 1.806 0.000
Au 1.806 1.806 3.824
Au 1.806 1.806 7.763
Au 1.806 1.806 11.171
Au 1.806 1.806 15.110
```

Main lines, in order of rising 2θ (2θ from 10° to 90°):
- 2θ 34.31, I = 100
- 2θ 35.14, I = 48
- 2θ 48.05, I = 9
- 2θ 50.54, I = 17
- 2θ 60.91, I = 18
- 2θ 62.52, I = 36
- 2θ 72.31, I = 11
- 2θ 84.91, I = 8